No. 1
Diffraction record for NdSnAu2. The X-ray diffraction stick pattern is simulated, not measured: it uses a cell relaxed with GGA-PBE and Cu Kα, 1.54184 Å.
Neutral-atom scattering factors, no anomalous dispersion.

Peak list (7 most intense, 2θ from 10° to 80°, low angle first)
hkl, two_theta, Rel. int.
2 0 0, 24.8, 5
2 2 0, 35.3, 100
2 2 2, 43.6, 1
4 0 0, 50.8, 18
4 2 0, 57.3, 2
4 2 2, 63.4, 37
4 4 0, 74.7, 12

a = 7.1904 Å, b = 7.1904 Å, c = 7.1904 Å
α = 90.00°, β = 90.00°, γ = 90.00°
Space group Fm-3m (No. 225)
Symmetry-distinct sites (fractional):
Nd 0.0000 0.0000 0.0000
Sn 0.0000 0.0000 0.5000
Au 0.2500 0.2500 0.2500

---

No. 2
Diffraction record for NdZnAu2. The X-ray diffraction stick pattern is simulated, not measured: it uses a cell relaxed with GGA-PBE and Cu Kα, 1.54184 Å.
Neutral-atom scattering factors, no anomalous dispersion.

Peak list (10 most intense, 2θ from 10° to 80°, low angle first)
hkl, two_theta, Rel. int.
1 1 1, 22.0, 3
2 0 0, 25.4, 10
2 2 0, 36.2, 100
3 1 1, 42.8, 2
2 2 2, 44.8, 3
4 0 0, 52.2, 18
3 3 1, 57.3, 1
4 2 0, 58.9, 5
4 2 2, 65.2, 36
4 4 0, 76.9, 11

a = 7.0135 Å, b = 7.0135 Å, c = 7.0135 Å
α = 90.00°, β = 90.00°, γ = 90.00°
Space group Fm-3m (No. 225)
Symmetry-distinct sites (fractional):
Nd 0.0000 0.0000 0.0000
Zn 0.0000 0.0000 0.5000
Au 0.2500 0.2500 0.2500

---

No. 3
Diffraction record for NiAu3. The X-ray diffraction stick pattern is simulated, not measured: it uses a cell relaxed with GGA-PBE and Cu Kα, 1.54184 Å.
Neutral-atom scattering factors, no anomalous dispersion.

Peak list (10 most intense, 2θ from 10° to 80°, low angle first)
hkl, two_theta, Rel. int.
1 0 1, 26.3, 15
1 1 0, 31.6, 6
2 0 0, 36.6, 24
0 0 2, 38.4, 28
2 0 1, 41.5, 100
1 1 2, 50.5, 3
2 0 2, 54.1, 15
2 2 0, 65.9, 17
2 0 3, 71.6, 20
2 2 2, 78.9, 21

a = 5.6697 Å, b = 5.6697 Å, c = 4.6889 Å
α = 90.00°, β = 90.00°, γ = 120.00°
Space group P6_3/mmc (No. 194)
Symmetry-distinct sites (fractional):
Ni 0.3333 0.6667 0.2500
Au 0.1699 0.3398 0.7500

---

No. 4
Diffraction record for NiAu3. The X-ray diffraction stick pattern is simulated, not measured: it uses a cell relaxed with GGA-PBE and Cu Kα, 1.54184 Å.
Neutral-atom scattering factors, no anomalous dispersion.

Peak list (10 most intense, 2θ from 10° to 80°, low angle first)
hkl, two_theta, Rel. int.
1 0 0, 22.1, 12
1 1 0, 31.4, 10
1 1 1, 38.7, 100
2 0 0, 45.0, 49
2 1 0, 50.7, 6
2 1 1, 55.9, 4
2 2 0, 65.5, 32
3 0 0, 70.1, 3
3 1 0, 74.5, 2
3 1 1, 78.8, 39

a = 4.0282 Å, b = 4.0282 Å, c = 4.0282 Å
α = 90.00°, β = 90.00°, γ = 90.00°
Space group Pm-3m (No. 221)
Symmetry-distinct sites (fractional):
Ni 0.0000 0.0000 0.0000
Au 0.0000 0.5000 0.5000

---

No. 5
Diffraction record for ScNi4Au. The X-ray diffraction stick pattern is simulated, not measured: it uses a cell relaxed with GGA-PBE and Cu Kα, 1.54184 Å.
Neutral-atom scattering factors, no anomalous dispersion.

Peak list (10 most intense, 2θ from 10° to 80°, low angle first)
hkl, two_theta, Rel. int.
1 1 1, 22.6, 24
2 0 0, 26.1, 22
2 2 0, 37.3, 46
3 1 1, 44.0, 100
2 2 2, 46.1, 26
3 3 1, 59.0, 6
4 2 0, 60.7, 10
4 2 2, 67.2, 16
3 3 3, 71.9, 30
4 4 0, 79.4, 20

a = 6.8242 Å, b = 6.8242 Å, c = 6.8242 Å
α = 90.00°, β = 90.00°, γ = 90.00°
Space group F-43m (No. 216)
Symmetry-distinct sites (fractional):
Sc 0.0000 0.0000 0.0000
Ni 0.1248 0.1248 0.6248
Au 0.2500 0.2500 0.2500

---

No. 6
Diffraction record for Si7Ni4Au2. The X-ray diffraction stick pattern is simulated, not measured: it uses a cell relaxed with GGA-PBE and Cu Kα, 1.54184 Å.
Neutral-atom scattering factors, no anomalous dispersion.

Peak list (10 most intense, 2θ from 10° to 80°, low angle first)
hkl, two_theta, Rel. int.
0 0 1, 11.8, 72
1 1 -1, 26.3, 100
4 0 -2, 31.0, 32
3 1 -1, 31.8, 43
2 0 2, 32.0, 37
4 0 1, 35.6, 35
5 1 0, 44.4, 30
1 1 3, 46.1, 71
0 2 0, 48.1, 34
5 1 -3, 48.8, 32

a = 12.8625 Å, b = 3.7865 Å, c = 7.9967 Å
α = 90.00°, β = 109.87°, γ = 90.00°
Space group C2/m (No. 12)
Symmetry-distinct sites (fractional):
Si 0.0000 0.0000 0.0000
Si 0.0050 0.0000 0.3348
Si 0.1543 0.5000 0.7584
Si 0.1650 0.5000 0.4239
Ni 0.0054 0.5000 0.1681
Ni 0.1553 0.0000 0.5875
Au 0.1937 0.5000 0.0933